Entry 1:
# Cr3Te2Se2
Calculated powder X-ray diffraction pattern, CuKα. Input: the GGA-PBE geometry in the Materials Project.
Intensities are scaled so that the largest is 100.

The 8 most intense peaks (2θ from 10° to 90°), in order of rising 2θ:
d_spacing	intensity	hkl
2.982	44.0	0 0 2
2.970	68.4	1 1 1
2.927	100.0	3 1 -1
2.896	29.5	4 0 -2
2.297	31.5	2 0 2
2.242	42.4	5 1 -1
1.947	31.1	0 2 0
1.938	54.4	3 1 -3

Crystal structure
Cell: 13.7317 3.8932 6.7071 Å, 90.00 117.23 90.00°
Space group C2/m (No. 12)
Symmetry-distinct sites (fractional):
1 Cr 0.0000 0.0000 0.0000 [2 per cell]
2 Cr 0.2370 0.5000 0.7734 [4 per cell]
3 Te 0.1320 0.5000 0.3010 [4 per cell]
4 Se 0.1279 0.0000 0.8126 [4 per cell]


Entry 2:
# SrLiAs
Calculated powder X-ray diffraction pattern, CuKα. Input: the GGA-PBE geometry in the Materials Project.
Intensities are scaled so that the largest is 100.

The 8 most intense peaks (2θ from 10° to 90°), in order of rising 2θ:
d_spacing	intensity	hkl
3.575	26.5	1 0 2
3.518	44.4	1 1 1
2.809	24.5	1 1 2
2.781	34.6	2 0 2
2.753	100.0	2 1 1
2.317	37.4	0 1 3
2.271	26.3	0 2 0
1.916	20.3	4 0 0

Crystal structure
Cell: 7.6628 4.5420 8.0830 Å, 90.00 90.00 90.00°
Space group Pnma (No. 62)
Symmetry-distinct sites (fractional):
1 Sr 0.0075 0.2500 0.2053 [4 per cell]
2 Li 0.1575 0.2500 0.5729 [4 per cell]
3 As 0.2242 0.7500 0.4060 [4 per cell]


Entry 3:
# CdAg3
Calculated powder X-ray diffraction pattern, CuKα. Input: the GGA-PBE geometry in the Materials Project.
Intensities are scaled so that the largest is 100.

The 8 most intense peaks (2θ from 10° to 90°), in order of rising 2θ:
d_spacing	intensity	hkl
2.431	100.0	1 1 2
2.131	16.8	0 0 4
2.093	31.7	2 0 0
1.493	20.4	2 0 4
1.480	9.9	2 2 0
1.281	12.0	1 1 6
1.264	23.0	3 1 2
1.216	10.2	2 2 4

Crystal structure
Cell: 4.1861 4.1861 8.5247 Å, 90.00 90.00 90.00°
Space group I4/mmm (No. 139)
Symmetry-distinct sites (fractional):
1 Cd 0.0000 0.0000 0.0000 [2 per cell]
2 Ag 0.0000 0.0000 0.5000 [2 per cell]
3 Ag 0.0000 0.5000 0.2500 [4 per cell]


Entry 4:
# Ta3Cu
Calculated powder X-ray diffraction pattern, CuKα. Input: the GGA-PBE geometry in the Materials Project.
Intensities are scaled so that the largest is 100.

The 8 most intense peaks (2θ from 10° to 90°), in order of rising 2θ:
d_spacing	intensity	hkl
2.353	100.0	1 1 2
2.104	18.0	0 0 4
2.007	31.3	2 0 0
1.452	22.0	2 0 4
1.419	10.2	2 2 0
1.257	13.6	1 1 6
1.215	24.5	3 1 2
1.176	11.1	2 2 4

Crystal structure
Cell: 4.0130 4.0130 8.4163 Å, 90.00 90.00 90.00°
Space group I4/mmm (No. 139)
Symmetry-distinct sites (fractional):
1 Ta 0.0000 0.0000 0.0000 [2 per cell]
2 Ta 0.0000 0.5000 0.2500 [4 per cell]
3 Cu 0.0000 0.0000 0.5000 [2 per cell]


Entry 5:
# InBi
Calculated powder X-ray diffraction pattern, CuKα. Input: the GGA-PBE geometry in the Materials Project.
Intensities are scaled so that the largest is 100.

The 8 most intense peaks (2θ from 10° to 90°), in order of rising 2θ:
d_spacing	intensity	hkl
2.862	100.0	1 0 1
2.588	19.1	0 0 2
2.429	32.0	1 1 0
1.771	24.8	1 1 2
1.542	15.8	1 0 3
1.473	27.1	2 1 1
1.431	12.3	2 0 2
1.147	12.5	2 1 3

Crystal structure
Cell: 3.4357 3.4357 5.1754 Å, 90.00 90.00 90.00°
Space group P4/mmm (No. 123)
Symmetry-distinct sites (fractional):
1 In 0.0000 0.0000 0.0000 [1 per cell]
2 Bi 0.5000 0.5000 0.5000 [1 per cell]